The following is a calculated powder diffraction line list of Nd5Sb2. It was derived from a structure optimized by DFT (GGA-PBE), using Cu Kα, 1.54184 Å.

Most intense lines, 2θ from 10° to 90°, low angle first:
- d 3.149, 28.34°, I = 43
- d 3.121, 28.60°, I = 57
- d 3.003, 29.75°, I = 44
- d 2.875, 31.11°, I = 100
- d 2.858, 31.30°, I = 44
- d 2.829, 31.62°, I = 46
- d 2.790, 32.08°, I = 57
- d 2.614, 34.31°, I = 85
- d 2.538, 35.37°, I = 53
- d 2.476, 36.28°, I = 58

Structural model:
```
Nd5Sb2
1.0
8.3353 -3.2076 0.0000
8.3353 3.2076 0.0000
-0.9179 0.0000 8.5554
Nd Sb
10 4
Direct
0.1522 0.8478 0.7500
0.1597 0.3024 0.3258
0.2672 0.5494 0.0720
0.3024 0.1597 0.8258
0.4506 0.7328 0.4280
0.5494 0.2672 0.5720
0.6976 0.8403 0.1742
0.7328 0.4506 0.9280
0.8403 0.6976 0.6742
0.8478 0.1522 0.2500
0.0694 0.7240 0.4204
0.2760 0.9306 0.0796
0.7240 0.0694 0.9204
0.9306 0.2760 0.5796
```